# 1
Re5Ni2Sn: theoretical X-ray diffraction stick pattern (copper Kα), based on the PBE geometry in OQMD.
Neutral-atom scattering factors, no anomalous dispersion.

```
data_Re5Ni2Sn
_symmetry_space_group_name_H-M 'P 1'
_symmetry_Int_Tables_number 1
_cell_length_a 4.402
_cell_length_b 5.509
_cell_length_c 5.509
_cell_angle_alpha 59.12
_cell_angle_beta 90.00
_cell_angle_gamma 90.00
loop_
_symmetry_equiv_pos_as_xyz
'x,y,z'
loop_
_atom_site_label
_atom_site_fract_x
_atom_site_fract_y
_atom_site_fract_z
Re1 0.000 0.000 0.000
Re2 0.000 0.501 0.990
Re3 0.000 0.990 0.501
Re4 0.500 0.341 0.841
Re5 0.500 0.841 0.341
Ni1 0.000 0.508 0.508
Ni2 0.500 0.840 0.840
Sn1 0.500 0.346 0.346
```

The 10 most intense peaks (10 to 80 degrees two-theta), in order of rising 2θ:
2θ = 27.51°, 3.242 Å, rel. 10
2θ = 27.69°, 3.222 Å, rel. 9
2θ = 38.06°, 2.364 Å, rel. 33
2θ = 41.00°, 2.201 Å, rel. 43
2θ = 42.98°, 2.105 Å, rel. 64
2θ = 43.45°, 2.083 Å, rel. 100
2θ = 57.18°, 1.611 Å, rel. 20
2θ = 68.08°, 1.377 Å, rel. 18
2θ = 76.06°, 1.251 Å, rel. 12
2θ = 76.39°, 1.247 Å, rel. 19

# 2
Re2NiSn: theoretical X-ray diffraction stick pattern (copper Kα), based on the PBE geometry in OQMD.
Neutral-atom scattering factors, no anomalous dispersion.

```
data_Re2NiSn
_symmetry_space_group_name_H-M 'P 1'
_symmetry_Int_Tables_number 1
_cell_length_a 4.529
_cell_length_b 5.541
_cell_length_c 5.541
_cell_angle_alpha 119.28
_cell_angle_beta 90.00
_cell_angle_gamma 90.00
loop_
_symmetry_equiv_pos_as_xyz
'x,y,z'
loop_
_atom_site_label
_atom_site_fract_x
_atom_site_fract_y
_atom_site_fract_z
Re1 0.250 0.090 0.910
Re2 0.250 0.611 0.928
Re3 0.750 0.910 0.090
Re4 0.750 0.928 0.611
Ni1 0.250 0.091 0.414
Ni2 0.750 0.414 0.091
Sn1 0.250 0.595 0.401
Sn2 0.750 0.401 0.595
```

The 10 most intense peaks (10 to 80 degrees two-theta), in order of rising 2θ:
2θ = 18.36°, 4.833 Å, rel. 14
2θ = 26.98°, 3.305 Å, rel. 13
2θ = 37.21°, 2.417 Å, rel. 14
2θ = 37.63°, 2.391 Å, rel. 19
2θ = 39.81°, 2.264 Å, rel. 36
2θ = 42.40°, 2.132 Å, rel. 100
2θ = 42.77°, 2.114 Å, rel. 33
2θ = 55.93°, 1.644 Å, rel. 12
2θ = 67.63°, 1.385 Å, rel. 14
2θ = 74.04°, 1.280 Å, rel. 20

# 3
Re3Ni2Sn3: theoretical X-ray diffraction stick pattern (copper Kα), based on the PBE geometry in OQMD.
Neutral-atom scattering factors, no anomalous dispersion.

```
data_Re3Ni2Sn3
_symmetry_space_group_name_H-M 'P 1'
_symmetry_Int_Tables_number 1
_cell_length_a 5.528
_cell_length_b 4.507
_cell_length_c 5.634
_cell_angle_alpha 90.00
_cell_angle_beta 111.43
_cell_angle_gamma 90.00
loop_
_symmetry_equiv_pos_as_xyz
'x,y,z'
loop_
_atom_site_label
_atom_site_fract_x
_atom_site_fract_y
_atom_site_fract_z
Re1 0.000 0.000 0.000
Re2 0.193 0.500 0.235
Re3 0.749 0.500 0.214
Ni1 0.184 0.500 0.776
Ni2 0.499 0.000 0.446
Sn1 0.019 0.000 0.506
Sn2 0.482 0.000 0.989
Sn3 0.659 0.500 0.687
```

The 10 most intense peaks (10 to 80 degrees two-theta), in order of rising 2θ:
2θ = 16.90°, 5.245 Å, rel. 24
2θ = 39.07°, 2.305 Å, rel. 47
2θ = 39.77°, 2.267 Å, rel. 100
2θ = 40.01°, 2.253 Å, rel. 54
2θ = 40.36°, 2.235 Å, rel. 86
2θ = 57.16°, 1.611 Å, rel. 32
2θ = 70.86°, 1.330 Å, rel. 14
2θ = 72.05°, 1.311 Å, rel. 16
2θ = 72.51°, 1.304 Å, rel. 17
2θ = 72.91°, 1.297 Å, rel. 15

# 4
Ni9S8: theoretical X-ray diffraction stick pattern (copper Kα), based on the PBE geometry in OQMD.
Neutral-atom scattering factors, no anomalous dispersion.

```
data_Ni9S8
_symmetry_space_group_name_H-M 'P 1'
_symmetry_Int_Tables_number 1
_cell_length_a 7.253
_cell_length_b 7.253
_cell_length_c 9.379
_cell_angle_alpha 90.00
_cell_angle_beta 90.00
_cell_angle_gamma 100.70
loop_
_symmetry_equiv_pos_as_xyz
'x,y,z'
loop_
_atom_site_label
_atom_site_fract_x
_atom_site_fract_y
_atom_site_fract_z
Ni1 0.000 0.000 0.000
Ni2 0.000 0.000 0.285
Ni3 0.000 0.000 0.715
Ni4 0.000 0.500 0.770
Ni5 0.058 0.687 0.378
Ni6 0.223 0.223 0.500
Ni7 0.236 0.764 0.000
Ni8 0.290 0.459 0.126
Ni9 0.313 0.942 0.622
Ni10 0.459 0.290 0.874
Ni11 0.500 0.000 0.230
Ni12 0.500 0.500 0.500
Ni13 0.541 0.710 0.874
Ni14 0.687 0.058 0.622
Ni15 0.710 0.541 0.126
Ni16 0.764 0.236 0.000
Ni17 0.777 0.777 0.500
Ni18 0.942 0.313 0.378
S1 0.018 0.249 0.139
S2 0.033 0.731 0.620
S3 0.249 0.018 0.861
S4 0.252 0.484 0.364
S5 0.259 0.502 0.886
S6 0.269 0.967 0.380
S7 0.484 0.252 0.636
S8 0.498 0.741 0.114
S9 0.502 0.259 0.114
S10 0.516 0.748 0.636
S11 0.731 0.033 0.380
S12 0.741 0.498 0.886
S13 0.748 0.516 0.364
S14 0.751 0.982 0.861
S15 0.967 0.269 0.620
S16 0.982 0.751 0.139
```

The 10 most intense peaks (10 to 80 degrees two-theta), in order of rising 2θ:
2θ = 27.52°, 3.241 Å, rel. 56
2θ = 31.24°, 2.863 Å, rel. 56
2θ = 31.55°, 2.836 Å, rel. 100
2θ = 38.88°, 2.316 Å, rel. 27
2θ = 41.59°, 2.172 Å, rel. 26
2θ = 43.41°, 2.084 Å, rel. 35
2θ = 50.87°, 1.795 Å, rel. 66
2θ = 51.27°, 1.782 Å, rel. 66
2θ = 51.40°, 1.778 Å, rel. 28
2θ = 55.82°, 1.647 Å, rel. 72

# 5
NiSeS: theoretical X-ray diffraction stick pattern (copper Kα), based on the PBE geometry in OQMD.
Neutral-atom scattering factors, no anomalous dispersion.

```
data_NiSeS
_symmetry_space_group_name_H-M 'P 1'
_symmetry_Int_Tables_number 1
_cell_length_a 9.691
_cell_length_b 9.691
_cell_length_c 6.043
_cell_angle_alpha 90.00
_cell_angle_beta 90.00
_cell_angle_gamma 159.37
loop_
_symmetry_equiv_pos_as_xyz
'x,y,z'
loop_
_atom_site_label
_atom_site_fract_x
_atom_site_fract_y
_atom_site_fract_z
Ni1 0.000 0.000 0.000
Ni2 0.500 0.500 0.452
Se1 0.065 0.935 0.648
Se2 0.935 0.065 0.648
S1 0.437 0.563 0.136
S2 0.563 0.437 0.136
```

The 10 most intense peaks (10 to 80 degrees two-theta), in order of rising 2θ:
2θ = 18.61°, 4.767 Å, rel. 29
2θ = 29.56°, 3.022 Å, rel. 23
2θ = 30.06°, 2.973 Å, rel. 81
2θ = 31.05°, 2.880 Å, rel. 22
2θ = 32.93°, 2.720 Å, rel. 24
2θ = 38.09°, 2.363 Å, rel. 48
2θ = 41.22°, 2.190 Å, rel. 33
2θ = 44.88°, 2.020 Å, rel. 68
2θ = 48.65°, 1.871 Å, rel. 28
2θ = 52.79°, 1.734 Å, rel. 100

# 6
Ni2SeS3: theoretical X-ray diffraction stick pattern (copper Kα), based on the PBE geometry in OQMD.
Neutral-atom scattering factors, no anomalous dispersion.

```
data_Ni2SeS3
_symmetry_space_group_name_H-M 'P 1'
_symmetry_Int_Tables_number 1
_cell_length_a 6.103
_cell_length_b 3.517
_cell_length_c 7.677
_cell_angle_alpha 90.00
_cell_angle_beta 113.34
_cell_angle_gamma 90.00
loop_
_symmetry_equiv_pos_as_xyz
'x,y,z'
loop_
_atom_site_label
_atom_site_fract_x
_atom_site_fract_y
_atom_site_fract_z
Ni1 0.000 0.000 0.000
Ni2 0.489 0.500 0.000
Se1 0.253 0.500 0.186
S1 0.084 0.500 0.846
S2 0.588 0.000 0.851
S3 0.737 0.000 0.149
```

The 10 most intense peaks (10 to 80 degrees two-theta), in order of rising 2θ:
2θ = 12.56°, 7.049 Å, rel. 100
2θ = 29.27°, 3.051 Å, rel. 7
2θ = 30.00°, 2.979 Å, rel. 21
2θ = 31.97°, 2.799 Å, rel. 6
2θ = 35.09°, 2.558 Å, rel. 13
2θ = 39.05°, 2.307 Å, rel. 9
2θ = 43.74°, 2.070 Å, rel. 19
2θ = 48.92°, 1.862 Å, rel. 8
2θ = 52.36°, 1.747 Å, rel. 15
2θ = 54.63°, 1.680 Å, rel. 10

# 7
TmNi3Se2S2: theoretical X-ray diffraction stick pattern (copper Kα), based on the PBE geometry in OQMD.
Neutral-atom scattering factors, no anomalous dispersion.

```
data_TmNi3Se2S2
_symmetry_space_group_name_H-M 'P 1'
_symmetry_Int_Tables_number 1
_cell_length_a 5.499
_cell_length_b 5.499
_cell_length_c 5.368
_cell_angle_alpha 90.00
_cell_angle_beta 90.00
_cell_angle_gamma 97.49
loop_
_symmetry_equiv_pos_as_xyz
'x,y,z'
loop_
_atom_site_label
_atom_site_fract_x
_atom_site_fract_y
_atom_site_fract_z
Tm1 0.000 0.000 0.000
Ni1 0.000 0.000 0.485
Ni2 0.000 0.500 0.857
Ni3 0.500 0.000 0.857
Se1 0.306 0.694 0.141
Se2 0.694 0.306 0.141
S1 0.263 0.263 0.664
S2 0.737 0.737 0.664
```

The 10 most intense peaks (10 to 80 degrees two-theta), in order of rising 2θ:
2θ = 16.26°, 5.452 Å, rel. 97
2θ = 16.52°, 5.368 Å, rel. 100
2θ = 29.73°, 3.005 Å, rel. 84
2θ = 34.82°, 2.576 Å, rel. 68
2θ = 36.98°, 2.431 Å, rel. 33
2θ = 37.35°, 2.408 Å, rel. 55
2θ = 38.78°, 2.322 Å, rel. 53
2θ = 41.88°, 2.157 Å, rel. 34
2θ = 47.54°, 1.913 Å, rel. 68
2θ = 50.32°, 1.813 Å, rel. 30

# 8
NiSn10S10: theoretical X-ray diffraction stick pattern (copper Kα), based on the PBE geometry in OQMD.
Neutral-atom scattering factors, no anomalous dispersion.

```
data_NiSn10S10
_symmetry_space_group_name_H-M 'P 1'
_symmetry_Int_Tables_number 1
_cell_length_a 11.089
_cell_length_b 11.404
_cell_length_c 8.548
_cell_angle_alpha 90.00
_cell_angle_beta 90.00
_cell_angle_gamma 90.00
loop_
_symmetry_equiv_pos_as_xyz
'x,y,z'
loop_
_atom_site_label
_atom_site_fract_x
_atom_site_fract_y
_atom_site_fract_z
Ni1 0.000 0.000 0.000
Ni2 0.500 0.500 0.000
Sn1 0.000 0.500 0.232
Sn2 0.000 0.500 0.768
Sn3 0.131 0.091 0.256
Sn4 0.131 0.091 0.744
Sn5 0.145 0.822 0.000
Sn6 0.237 0.816 0.500
Sn7 0.263 0.316 0.500
Sn8 0.355 0.322 0.000
Sn9 0.369 0.591 0.256
Sn10 0.369 0.591 0.744
Sn11 0.500 0.000 0.232
Sn12 0.500 0.000 0.768
Sn13 0.631 0.409 0.256
Sn14 0.631 0.409 0.744
Sn15 0.645 0.678 0.000
Sn16 0.737 0.684 0.500
Sn17 0.763 0.184 0.500
Sn18 0.855 0.178 0.000
Sn19 0.869 0.909 0.256
Sn20 0.869 0.909 0.744
S1 0.014 0.181 0.500
S2 0.136 0.596 0.000
S3 0.181 0.313 0.196
S4 0.181 0.313 0.804
S5 0.206 0.553 0.500
S6 0.294 0.053 0.500
S7 0.319 0.813 0.196
S8 0.319 0.813 0.804
S9 0.364 0.096 0.000
S10 0.486 0.681 0.500
S11 0.514 0.319 0.500
S12 0.636 0.904 0.000
S13 0.681 0.187 0.196
S14 0.681 0.187 0.804
S15 0.706 0.947 0.500
S16 0.794 0.447 0.500
S17 0.819 0.687 0.196
S18 0.819 0.687 0.804
S19 0.864 0.404 0.000
S20 0.986 0.819 0.500
```

The 10 most intense peaks (10 to 80 degrees two-theta), in order of rising 2θ:
2θ = 22.37°, 3.975 Å, rel. 45
2θ = 26.06°, 3.420 Å, rel. 48
2θ = 27.29°, 3.268 Å, rel. 62
2θ = 27.49°, 3.245 Å, rel. 100
2θ = 32.42°, 2.761 Å, rel. 69
2θ = 32.99°, 2.715 Å, rel. 54
2θ = 35.51°, 2.528 Å, rel. 31
2θ = 42.29°, 2.137 Å, rel. 44
2θ = 45.83°, 1.980 Å, rel. 52
2θ = 46.83°, 1.940 Å, rel. 32

# 9
Tl2Ni2S5: theoretical X-ray diffraction stick pattern (copper Kα), based on the PBE geometry in OQMD.
Neutral-atom scattering factors, no anomalous dispersion.

```
data_Tl2Ni2S5
_symmetry_space_group_name_H-M 'P 1'
_symmetry_Int_Tables_number 1
_cell_length_a 6.175
_cell_length_b 6.175
_cell_length_c 11.230
_cell_angle_alpha 107.08
_cell_angle_beta 107.08
_cell_angle_gamma 67.47
loop_
_symmetry_equiv_pos_as_xyz
'x,y,z'
loop_
_atom_site_label
_atom_site_fract_x
_atom_site_fract_y
_atom_site_fract_z
Tl1 0.051 0.351 0.313
Tl2 0.351 0.051 0.813
Tl3 0.649 0.949 0.187
Tl4 0.949 0.649 0.687
Ni1 0.226 0.606 0.060
Ni2 0.394 0.774 0.440
Ni3 0.606 0.226 0.560
Ni4 0.774 0.394 0.940
S1 0.151 0.267 0.043
S2 0.166 0.834 0.250
S3 0.267 0.151 0.543
S4 0.372 0.541 0.889
S5 0.459 0.628 0.611
S6 0.541 0.372 0.389
S7 0.628 0.459 0.111
S8 0.733 0.849 0.457
S9 0.834 0.166 0.750
S10 0.849 0.733 0.957
```

The 10 most intense peaks (10 to 80 degrees two-theta), in order of rising 2θ:
2θ = 18.47°, 4.805 Å, rel. 37
2θ = 20.70°, 4.290 Å, rel. 55
2θ = 27.14°, 3.286 Å, rel. 92
2θ = 27.36°, 3.260 Å, rel. 62
2θ = 29.18°, 3.060 Å, rel. 100
2θ = 29.29°, 3.049 Å, rel. 38
2θ = 33.20°, 2.699 Å, rel. 30
2θ = 34.63°, 2.590 Å, rel. 44
2θ = 34.91°, 2.570 Å, rel. 78
2θ = 42.83°, 2.111 Å, rel. 36

# 10
YTm6Ni2S2: theoretical X-ray diffraction stick pattern (copper Kα), based on the PBE geometry in OQMD.
Neutral-atom scattering factors, no anomalous dispersion.

```
data_YTm6Ni2S2
_symmetry_space_group_name_H-M 'P 1'
_symmetry_Int_Tables_number 1
_cell_length_a 8.813
_cell_length_b 8.813
_cell_length_c 8.813
_cell_angle_alpha 155.53
_cell_angle_beta 67.68
_cell_angle_gamma 118.01
loop_
_symmetry_equiv_pos_as_xyz
'x,y,z'
loop_
_atom_site_label
_atom_site_fract_x
_atom_site_fract_y
_atom_site_fract_z
Y1 0.000 0.000 0.000
Tm1 0.284 0.404 0.880
Tm2 0.297 0.612 0.685
Tm3 0.525 0.404 0.120
Tm4 0.613 0.248 0.364
Tm5 0.884 0.248 0.636
Tm6 0.927 0.612 0.315
Ni1 0.155 0.914 0.240
Ni2 0.674 0.914 0.760
S1 0.251 0.751 0.500
S2 0.654 0.654 0.000
```

The 10 most intense peaks (10 to 80 degrees two-theta), in order of rising 2θ:
2θ = 25.80°, 3.454 Å, rel. 29
2θ = 30.15°, 2.964 Å, rel. 63
2θ = 31.62°, 2.829 Å, rel. 63
2θ = 32.12°, 2.787 Å, rel. 37
2θ = 34.89°, 2.572 Å, rel. 58
2θ = 35.74°, 2.512 Å, rel. 100
2θ = 36.18°, 2.483 Å, rel. 58
2θ = 48.77°, 1.867 Å, rel. 28
2θ = 56.95°, 1.617 Å, rel. 33
2θ = 61.34°, 1.511 Å, rel. 29

# 11
NiW3S6: theoretical X-ray diffraction stick pattern (copper Kα), based on the PBE geometry in OQMD.
Neutral-atom scattering factors, no anomalous dispersion.

```
data_NiW3S6
_symmetry_space_group_name_H-M 'P 1'
_symmetry_Int_Tables_number 1
_cell_length_a 6.803
_cell_length_b 6.803
_cell_length_c 6.803
_cell_angle_alpha 48.83
_cell_angle_beta 48.83
_cell_angle_gamma 48.83
loop_
_symmetry_equiv_pos_as_xyz
'x,y,z'
loop_
_atom_site_label
_atom_site_fract_x
_atom_site_fract_y
_atom_site_fract_z
Ni1 0.000 0.000 0.000
W1 0.168 0.168 0.168
W2 0.500 0.500 0.500
W3 0.832 0.832 0.832
S1 0.080 0.415 0.742
S2 0.258 0.920 0.585
S3 0.415 0.742 0.080
S4 0.585 0.258 0.920
S5 0.742 0.080 0.415
S6 0.920 0.585 0.258
```

The 10 most intense peaks (10 to 80 degrees two-theta), in order of rising 2θ:
2θ = 14.82°, 5.978 Å, rel. 100
2θ = 29.89°, 2.989 Å, rel. 15
2θ = 31.82°, 2.812 Å, rel. 60
2θ = 35.27°, 2.545 Å, rel. 94
2θ = 44.22°, 2.048 Å, rel. 93
2θ = 56.66°, 1.625 Å, rel. 50
2θ = 58.95°, 1.567 Å, rel. 18
2θ = 68.56°, 1.369 Å, rel. 14
2θ = 71.49°, 1.320 Å, rel. 12
2θ = 74.59°, 1.272 Å, rel. 20

# 12
Ni10Sb: theoretical X-ray diffraction stick pattern (copper Kα), based on the PBE geometry in OQMD.
Neutral-atom scattering factors, no anomalous dispersion.

```
data_Ni10Sb
_symmetry_space_group_name_H-M 'P 1'
_symmetry_Int_Tables_number 1
_cell_length_a 4.274
_cell_length_b 4.274
_cell_length_c 24.500
_cell_angle_alpha 90.27
_cell_angle_beta 90.27
_cell_angle_gamma 48.56
loop_
_symmetry_equiv_pos_as_xyz
'x,y,z'
loop_
_atom_site_label
_atom_site_fract_x
_atom_site_fract_y
_atom_site_fract_z
Ni1 0.048 0.048 0.227
Ni2 0.050 0.050 0.548
Ni3 0.149 0.149 0.324
Ni4 0.150 0.150 0.644
Ni5 0.250 0.250 0.420
Ni6 0.250 0.250 0.740
Ni7 0.350 0.350 0.516
Ni8 0.351 0.351 0.195
Ni9 0.448 0.448 0.292
Ni10 0.450 0.450 0.612
Ni11 0.550 0.550 0.388
Ni12 0.552 0.552 0.708
Ni13 0.649 0.649 0.805
Ni14 0.650 0.650 0.484
Ni15 0.750 0.750 0.260
Ni16 0.750 0.750 0.580
Ni17 0.850 0.850 0.356
Ni18 0.851 0.851 0.676
Ni19 0.950 0.950 0.452
Ni20 0.952 0.952 0.773
Sb1 0.348 0.348 0.846
Sb2 0.652 0.652 0.154
```

The 10 most intense peaks (10 to 80 degrees two-theta), in order of rising 2θ:
2θ = 10.83°, 8.167 Å, rel. 23
2θ = 43.68°, 2.072 Å, rel. 92
2θ = 44.74°, 2.026 Å, rel. 100
2θ = 46.72°, 1.944 Å, rel. 29
2θ = 50.35°, 1.812 Å, rel. 26
2θ = 52.08°, 1.756 Å, rel. 60
2θ = 53.96°, 1.699 Å, rel. 18
2θ = 75.33°, 1.262 Å, rel. 15
2θ = 76.76°, 1.242 Å, rel. 17
2θ = 78.24°, 1.222 Å, rel. 16

Question: Number 3 is which compound?
Answer: Re3Ni2Sn3

Question: Number 7 is which compound?
Answer: TmNi3Se2S2